No. 1
Computed X-ray diffraction stick pattern of MgUS2O21 for Cu Kα (weighted mean of Kα1 and Kα2), from a cell relaxed with PBE.
Peak positions follow from Bragg's law for the DFT cell and can differ from measured ones.

Largest 8 diffraction maxima, by intensity, 10 to 90 degrees two-theta:
index, 2theta, I (rel.)
1 1 -1, 13.98, 100.0
1 1 1, 15.13, 97.8
0 0 4, 17.72, 90.0
1 1 -5, 24.58, 85.6
1 1 -3, 17.88, 75.5
3 1 -3, 27.28, 59.6
3 1 1, 28.12, 51.8
3 1 -1, 26.19, 46.7

Structural model:
```
data_MgUS2O21
_chemical_formula_sum 'Mg4 U4 S8 O84'
_space_group_name_H-M_alt 'C 1 2/c 1'
_space_group_IT_number 15
_cell_length_a 11.352
_cell_length_b 7.825
_cell_length_c 20.600
_cell_angle_alpha 90.00
_cell_angle_beta 103.57
_cell_angle_gamma 90.00
loop_
_space_group_symop_operation_xyz
'x,y,z'
'-x,-y,-z'
'-x,y,-z+1/2'
'x,-y,z+1/2'
'x+1/2,y+1/2,z'
'-x+1/2,-y+1/2,-z'
'-x+1/2,y+1/2,-z+1/2'
'x+1/2,-y+1/2,z+1/2'
loop_
_atom_site_label
_atom_site_type_symbol
_atom_site_fract_x
_atom_site_fract_y
_atom_site_fract_z
Mg1 Mg 0.000 0.000 0.000
U1 U 0.000 0.286 0.250
S1 S 0.182 0.365 0.707
O1 O 0.000 0.013 0.750
O2 O 0.038 0.280 0.340
O3 O 0.098 0.207 0.021
O4 O 0.111 0.212 0.677
O5 O 0.121 0.459 0.752
O6 O 0.168 0.102 0.462
O7 O 0.182 0.130 0.079
O8 O 0.197 0.190 0.251
O9 O 0.198 0.472 0.651
O10 O 0.223 0.288 0.899
O11 O 0.225 0.445 0.526
```

***

No. 2
Computed X-ray diffraction stick pattern of MgUS2O21 for Cu Kα (weighted mean of Kα1 and Kα2), from a cell relaxed with PBE.
Peak positions follow from Bragg's law for the DFT cell and can differ from measured ones.

Largest 8 diffraction maxima, by intensity, 10 to 90 degrees two-theta:
index, 2theta, I (rel.)
1 1 2, 18.14, 100.0
1 1 0, 13.00, 77.6
1 1 4, 27.73, 64.8
3 1 -2, 26.25, 54.2
0 0 2, 11.63, 51.9
3 1 0, 24.95, 46.9
2 0 -4, 26.07, 37.5
2 2 -1, 26.37, 37.0

Structural model:
```
data_MgUS2O21
_chemical_formula_sum 'Mg4 U4 S8 O84'
_space_group_name_H-M_alt 'C 1 2/c 1'
_space_group_IT_number 15
_cell_length_a 11.960
_cell_length_b 8.324
_cell_length_c 15.359
_cell_angle_alpha 90.00
_cell_angle_beta 97.77
_cell_angle_gamma 90.00
loop_
_space_group_symop_operation_xyz
'x,y,z'
'-x,-y,-z'
'-x,y,-z+1/2'
'x,-y,z+1/2'
'x+1/2,y+1/2,z'
'-x+1/2,-y+1/2,-z'
'-x+1/2,y+1/2,-z+1/2'
'x+1/2,-y+1/2,z+1/2'
loop_
_atom_site_label
_atom_site_type_symbol
_atom_site_fract_x
_atom_site_fract_y
_atom_site_fract_z
Mg1 Mg 0.250 0.250 0.000
U1 U 0.000 0.078 0.250
S1 S 0.236 0.459 0.342
O1 O 0.000 0.151 0.750
O2 O 0.005 0.198 0.949
O3 O 0.015 0.471 0.073
O4 O 0.050 0.095 0.367
O5 O 0.084 0.148 0.533
O6 O 0.119 0.485 0.102
O7 O 0.131 0.406 0.291
O8 O 0.181 0.349 0.099
O9 O 0.188 0.042 0.213
O10 O 0.210 0.199 0.622
O11 O 0.219 0.438 0.918
```